No. 1
Simulated powder XRD pattern of LaDyEr2Sc for Cu Kα (λ = 1.5418 Å), from a DFT-relaxed cell (GGA-PBE, Alexandria).
Intensities are scaled so that the largest is 100.

Most intense lines, 2θ from 10° to 90°, sorted by position:
26.89°, I 81
31.91°, I 100
32.88°, I 47
41.17°, I 36
53.66°, I 33
63.87°, I 25

Cell and atoms:
Cell: 3.5553 5.4475 8.3564 Å, 90.00 90.00 90.00°
Sites, in units of the cell vectors:
La (0.0000, 0.0000, 0.0000)
Dy (0.5000, 0.0000, 0.5000)
Er (0.0000, 0.5000, 0.3137)
Er (0.0000, 0.5000, 0.6863)
Sc (0.5000, 0.5000, 0.0000)

No. 2
Simulated powder XRD pattern of K2CaAg2F6 for Cu Kα (λ = 1.5418 Å), from a DFT-relaxed cell (GGA-PBE, Alexandria).
Intensities are scaled so that the largest is 100.

Most intense lines, 2θ from 10° to 90°, sorted by position:
16.47°, I 55
27.23°, I 100
28.07°, I 45
31.42°, I 81
32.94°, I 23
40.56°, I 36

Cell and atoms:
Cell: 6.5893 6.5893 6.5333 Å, 115.04 115.04 57.68°
Sites, in units of the cell vectors:
K (0.2261, 0.2261, 0.1533)
K (0.7739, 0.7739, 0.8467)
Ca (0.0000, 0.0000, 0.5000)
Ag (0.4237, 0.4237, 0.7485)
Ag (0.5763, 0.5763, 0.2515)
F (0.1691, 0.6802, 0.2053)
F (0.2064, 0.2064, 0.5411)
F (0.3198, 0.8309, 0.7947)
F (0.6802, 0.1691, 0.2053)
F (0.7936, 0.7936, 0.4589)
F (0.8309, 0.3198, 0.7947)

No. 3
Simulated powder XRD pattern of Ba3Sr6Ir for Cu Kα (λ = 1.5418 Å), from a DFT-relaxed cell (GGA-PBE, Alexandria).
Intensities are scaled so that the largest is 100.

Most intense lines, 2θ from 10° to 90°, sorted by position:
25.11°, I 100
28.73°, I 43
29.10°, I 39
29.41°, I 39
41.58°, I 30
51.55°, I 31

Cell and atoms:
Cell: 13.1029 13.1029 6.0744 Å, 90.00 90.00 90.72°
Sites, in units of the cell vectors:
Ba (0.0908, 0.9092, 0.7500)
Ba (0.2478, 0.4163, 0.2500)
Ba (0.4163, 0.2478, 0.7500)
Ba (0.5837, 0.7522, 0.2500)
Ba (0.7522, 0.5837, 0.7500)
Ba (0.9092, 0.0908, 0.2500)
Sr (0.0824, 0.2521, 0.7500)
Sr (0.0914, 0.5891, 0.7500)
Sr (0.2502, 0.7498, 0.2500)
Sr (0.2521, 0.0824, 0.2500)
Sr (0.4086, 0.5914, 0.7500)
Sr (0.4109, 0.9086, 0.7500)
Sr (0.5891, 0.0914, 0.2500)
Sr (0.5914, 0.4086, 0.2500)
Sr (0.7479, 0.9176, 0.7500)
Sr (0.7498, 0.2502, 0.7500)
Sr (0.9086, 0.4109, 0.2500)
Sr (0.9176, 0.7479, 0.2500)
Ir (0.2506, 0.7494, 0.7500)
Ir (0.7494, 0.2506, 0.2500)